Computed powder X-ray diffraction pattern
Compound: Tb2AlPd2
Radiation: Cu Kα (weighted mean of Kα1 and Kα2)
Structure: a GGA-PBE-relaxed structure
No peak broadening, texture or thermal motion is included.

Atomic structure:
Unit cell a=7.4844 b=7.4844 c=7.6901 alpha=90.00 beta=90.00 gamma=90.00
Element x y z (fractional)
Tb 0.1749 0.3255 0.0000
Tb 0.1745 0.3251 0.5000
Tb 0.3255 0.8251 0.0000
Tb 0.3251 0.8255 0.5000
Tb 0.6745 0.1749 0.0000
Tb 0.6749 0.1745 0.5000
Tb 0.8251 0.6745 0.0000
Tb 0.8255 0.6749 0.5000
Al 0.0000 0.0000 0.2490
Al 0.0000 0.0000 0.7510
Al 0.5000 0.5000 0.2510
Al 0.5000 0.5000 0.7490
Pd 0.1328 0.6328 0.2500
Pd 0.1328 0.6328 0.7500
Pd 0.3672 0.1328 0.2500
Pd 0.3672 0.1328 0.7500
Pd 0.6328 0.8672 0.2500
Pd 0.6328 0.8672 0.7500
Pd 0.8672 0.3672 0.2500
Pd 0.8672 0.3672 0.7500

The 6 most intense peaks (15° ≤ 2θ ≤ 90°), low angle first:
Position (°2θ)  intensity  (hkl)
16.75  20  1 1 0
23.78  15  2 0 0
33.41  14  2 0 2
35.56  100  2 1 2
38.02  23  3 1 0
56.02  16  4 1 2